No. 1
This entry pairs a crystal structure of CaPH3O4 with its simulated powder XRD pattern. Radiation: Cu Kα (λ = 1.5418 Å). Structure: a cell relaxed with GGA-PBE.
Peak positions follow from Bragg's law for the DFT cell and can differ from measured ones.

Structure:
a b c (Å): 7.7488 6.7929 7.9794
angles (deg): 90.00 110.12 90.00
Space group P2_1/c (No. 14)
Symmetry-distinct sites (fractional):
Ca  0.1102  0.1284  0.3519
P  0.2242  0.6337  0.5110
H  0.3129  0.0543  0.7223
H  0.3859  0.7263  0.5092
H  0.4965  0.0811  0.6793
O  0.0672  0.7105  0.9582
O  0.1756  0.0244  0.8615
O  0.2655  0.5523  0.6996
O  0.3608  0.0952  0.6275

Most intense lines, 5 to 70 degrees two-theta, in order of rising 2θ:
2θ = 12.16°, 7.276 Å, I = 100, (1 0 0); 2θ = 24.47°, 3.638 Å, I = 15, (2 0 0); 2θ = 27.69°, 3.222 Å, I = 47, (2 0 -2); 2θ = 29.73°, 3.005 Å, I = 79, (1 2 -1); 2θ = 30.71°, 2.911 Å, I = 10, (2 1 -2); 2θ = 33.17°, 2.701 Å, I = 24, (1 1 2); 2θ = 33.57°, 2.670 Å, I = 26, (2 1 1); 2θ = 40.05°, 2.251 Å, I = 11, (2 0 2); 2θ = 47.70°, 1.907 Å, I = 15, (1 1 -4); 2θ = 49.17°, 1.853 Å, I = 10, (4 1 -1); 2θ = 50.26°, 1.815 Å, I = 14, (3 2 -3); 2θ = 55.52°, 1.655 Å, I = 9, (3 3 0)

---

No. 2
This entry pairs a crystal structure of CaP2H6O9 with its simulated powder XRD pattern. Radiation: Cu Kα (λ = 1.5418 Å). Structure: a cell relaxed with GGA-PBE.
Peak positions follow from Bragg's law for the DFT cell and can differ from measured ones.

Structure:
a b c (Å): 5.6616 6.2940 11.9638
angles (deg): 92.99 96.63 114.19
Space group P-1 (No. 2)
Symmetry-distinct sites (fractional):
Ca  0.0397  0.2729  0.1026
P  0.2647  0.1126  0.3729
P  0.4692  0.2231  0.9028
H  0.0288  0.2040  0.4883
H  0.0547  0.6408  0.3026
H  0.1422  0.6138  0.6933
H  0.3135  0.4349  0.7945
H  0.3550  0.7865  0.5175
H  0.4380  0.0412  0.1958
O  0.0663  0.5025  0.7478
O  0.1215  0.2586  0.4210
O  0.1760  0.8733  0.4192
O  0.2224  0.1026  0.2442
O  0.2388  0.1587  0.9671
O  0.2544  0.6722  0.0335
O  0.4058  0.9839  0.8274
O  0.4289  0.7396  0.5872
O  0.4796  0.4149  0.8186

Most intense lines, 5 to 70 degrees two-theta, in order of rising 2θ:
2θ = 7.48°, 11.812 Å, I = 98, (0 0 1); 2θ = 15.53°, 5.707 Å, I = 14, (0 1 0); 2θ = 17.99°, 4.931 Å, I = 27, (0 1 1); 2θ = 19.95°, 4.449 Å, I = 14, (1 0 1); 2θ = 22.77°, 3.905 Å, I = 100, (-1 1 2); 2θ = 23.95°, 3.716 Å, I = 83, (1 -1 2); 2θ = 24.70°, 3.604 Å, I = 14, (1 0 2); 2θ = 26.43°, 3.373 Å, I = 13, (1 0 -3); 2θ = 30.07°, 2.972 Å, I = 22, (1 1 1); 2θ = 33.34°, 2.687 Å, I = 23, (0 2 -2); 2θ = 34.82°, 2.576 Å, I = 14, (2 0 -1); 2θ = 45.13°, 2.009 Å, I = 22, (2 0 3)

---

No. 3
This entry pairs a crystal structure of CaP2H6O7 with its simulated powder XRD pattern. Radiation: Cu Kα (λ = 1.5418 Å). Structure: a cell relaxed with GGA-PBE.
Peak positions follow from Bragg's law for the DFT cell and can differ from measured ones.

Structure:
a b c (Å): 6.8375 7.1295 8.1616
angles (deg): 68.55 84.92 84.22
Space group P-1 (No. 2)
Symmetry-distinct sites (fractional):
Ca  0.1408  0.1319  0.2637
P  0.2440  0.5973  0.3094
P  0.3133  0.9561  0.7170
H  0.0943  0.3909  0.8733
H  0.1974  0.8640  0.0114
H  0.2381  0.5713  0.4890
H  0.3245  0.3594  0.8907
H  0.3510  0.1530  0.6994
H  0.4802  0.3815  0.2644
O  0.1007  0.4637  0.2806
O  0.1669  0.8753  0.8858
O  0.1883  0.9604  0.5702
O  0.1984  0.3152  0.9542
O  0.2139  0.8247  0.2063
O  0.4650  0.5275  0.2631
O  0.4892  0.1680  0.2617

Most intense lines, 5 to 70 degrees two-theta, in order of rising 2θ:
2θ = 13.38°, 6.618 Å, I = 26, (0 1 0); 2θ = 14.25°, 6.217 Å, I = 19, (0 1 1); 2θ = 18.01°, 4.925 Å, I = 34, (1 0 -1); 2θ = 23.46°, 3.792 Å, I = 98, (0 0 2); 2θ = 24.40°, 3.648 Å, I = 14, (1 1 -1); 2θ = 24.79°, 3.592 Å, I = 35, (1 -1 1); 2θ = 25.19°, 3.535 Å, I = 100, (0 2 1); 2θ = 26.25°, 3.395 Å, I = 31, (2 0 0); 2θ = 27.19°, 3.280 Å, I = 17, (-1 1 2); 2θ = 28.18°, 3.166 Å, I = 13, (2 0 1); 2θ = 38.68°, 2.328 Å, I = 16, (1 0 -3); 2θ = 39.82°, 2.264 Å, I = 13, (3 0 0)

---

No. 4
This entry pairs a crystal structure of CaP2H4O4 with its simulated powder XRD pattern. Radiation: Cu Kα (λ = 1.5418 Å). Structure: a cell relaxed with GGA-PBE.
Peak positions follow from Bragg's law for the DFT cell and can differ from measured ones.

Structure:
a b c (Å): 15.2519 5.7325 6.7553
angles (deg): 90.00 102.12 90.00
Space group C2/c (No. 15)
Symmetry-distinct sites (fractional):
Ca  0.0000  0.1672  0.2500
P  0.1415  0.3169  0.7184
H  0.1710  0.2281  0.9174
H  0.2201  0.3132  0.6375
O  0.0748  0.1384  0.6023
O  0.1104  0.4334  0.2290

Most intense lines, 5 to 70 degrees two-theta, in order of rising 2θ:
2θ = 11.87°, 7.456 Å, I = 75, (2 0 0); 2θ = 23.69°, 3.755 Å, I = 45, (3 1 0); 2θ = 23.87°, 3.728 Å, I = 18, (4 0 0); 2θ = 25.35°, 3.513 Å, I = 100, (3 1 -1); 2θ = 27.00°, 3.302 Å, I = 59, (0 0 2); 2θ = 29.16°, 3.063 Å, I = 21, (3 1 1); 2θ = 31.86°, 2.809 Å, I = 20, (2 0 2); 2θ = 34.08°, 2.630 Å, I = 18, (5 1 -1); 2θ = 39.07°, 2.305 Å, I = 11, (3 1 2); 2θ = 44.27°, 2.046 Å, I = 15, (3 1 -3); 2θ = 48.24°, 1.887 Å, I = 15, (6 2 -1); 2θ = 51.22°, 1.784 Å, I = 10, (3 3 0)

---

No. 5
This entry pairs a crystal structure of CaPH2O6 with its simulated powder XRD pattern. Radiation: Cu Kα (λ = 1.5418 Å). Structure: a cell relaxed with GGA-PBE.
Peak positions follow from Bragg's law for the DFT cell and can differ from measured ones.

Structure:
a b c (Å): 6.4291 15.2984 5.6276
angles (deg): 90.00 120.43 90.00
Space group Cc (No. 9)
Symmetry-distinct sites (fractional):
Ca  0.0000  0.1695  0.0000
P  0.0058  0.3278  0.4898
H  0.2178  0.4952  0.1488
H  0.2354  0.4168  0.9722
O  0.1011  0.2669  0.3524
O  0.2078  0.3933  0.6680
O  0.2506  0.4317  0.1539
O  0.2547  0.0558  0.4090
O  0.2785  0.1172  0.7655
O  0.4057  0.2204  0.1492

Most intense lines, 5 to 70 degrees two-theta, in order of rising 2θ:
2θ = 11.57°, 7.649 Å, I = 86, (0 2 0); 2θ = 21.69°, 4.097 Å, I = 84, (0 2 1); 2θ = 29.74°, 3.004 Å, I = 100, (0 4 1); 2θ = 30.23°, 2.956 Å, I = 60, (2 2 -1); 2θ = 34.42°, 2.606 Å, I = 44, (2 2 0); 2θ = 34.67°, 2.587 Å, I = 17, (2 0 -2); 2θ = 36.57°, 2.457 Å, I = 12, (1 3 -2); 2θ = 42.17°, 2.143 Å, I = 27, (2 4 -2); 2θ = 42.34°, 2.134 Å, I = 14, (1 5 1); 2θ = 48.51°, 1.877 Å, I = 23, (2 6 0); 2θ = 50.25°, 1.816 Å, I = 20, (2 6 -2); 2θ = 52.03°, 1.758 Å, I = 14, (0 6 2)